Calculated powder diffraction line list of Ba5B3ClO9 for CuKα, from a DFT-relaxed cell (GGA-PBE, the Materials Project).
Intensities are scaled so that the largest is 1000.

The 8 most intense peaks (2θ from 10° to 80°), in order of rising 2θ:
2theta  I (rel.)
22.5  665
24.5  591
28.0  1000
29.0  515
29.7  930
30.9  525
31.1  553
47.7  619

Atomic structure:
Lattice parameters (Å, degrees): 9.2416 9.2416 7.9909 90.00 90.00 109.96
Fractional positions:
Ba  0.1370  0.8630  0.7500
Ba  0.1411  0.8589  0.2500
Ba  0.2359  0.4952  0.4436
Ba  0.2612  0.2612  0.0000
Ba  0.4952  0.2359  0.5564
Ba  0.5048  0.7641  0.0564
Ba  0.7388  0.7388  0.5000
Ba  0.7641  0.5048  0.9436
Ba  0.8589  0.1411  0.7500
Ba  0.8630  0.1370  0.2500
B  0.0959  0.5150  0.0314
B  0.1275  0.1275  0.5000
B  0.4850  0.9041  0.4686
B  0.5150  0.0959  0.9686
B  0.8725  0.8725  0.0000
B  0.9041  0.4850  0.5314
Cl  0.4529  0.5471  0.7500
Cl  0.5471  0.4529  0.2500
O  0.0053  0.0053  0.0000
O  0.0093  0.6320  0.4921
O  0.0651  0.6477  0.9857
O  0.1896  0.1926  0.6526
O  0.1926  0.1896  0.3474
O  0.2298  0.5287  0.1192
O  0.3523  0.9349  0.5143
O  0.3680  0.9907  0.0079
O  0.4713  0.7702  0.3808
O  0.5287  0.2298  0.8808
O  0.6320  0.0093  0.5079
O  0.6477  0.0651  0.0143
O  0.7702  0.4713  0.6192
O  0.8074  0.8104  0.8474
O  0.8104  0.8074  0.1526
O  0.9349  0.3523  0.4857
O  0.9907  0.3680  0.9921
O  0.9947  0.9947  0.5000